Simulated X-ray diffraction stick pattern
Compound: CsK2VF5
Radiation: Cu Kα (weighted mean of Kα1 and Kα2)
Structure: the GGA+U geometry in Alexandria
Peak positions follow from Bragg's law for the DFT cell and can differ from measured ones.

The 6 most intense peaks (15° ≤ 2θ ≤ 90°), in order of falling intensity:
2θ (°), Rel. int.
28.99, 100
40.22, 38
35.69, 30
27.61, 22
49.70, 21
42.68, 21

Structure:
Unit cell a=4.2369 b=6.4607 c=12.4562 alpha=90.00 beta=90.00 gamma=90.00
Space group Immm (No. 71)
One atom of each set of equivalent atoms:
Cs (0.0000, 0.0000, 0.0000)
K (0.0000, 0.5000, 0.2155)
V (0.0000, 0.0000, 0.5000)
F (0.0000, 0.2247, 0.3735)
F (0.0000, 0.5000, 0.0000)